Diffraction record for La3In3Ag2Pd. The X-ray diffraction stick pattern is simulated, not measured: it uses a cell relaxed with GGA-PBE and Cu Ka.
Lines closer than 0.1° are merged.

Peak list (10 most intense, 10 to 90 degrees two-theta, low angle first)
h k l, 2θ (°), I/Imax
1 1 1, 30.97, 100
2 0 1, 33.71, 97
2 1 0, 34.84, 54
3 0 0, 39.68, 33
2 1 1, 40.97, 32
0 0 2, 42.53, 29
3 1 1, 53.03, 17
2 1 2, 56.10, 27
3 0 2, 59.57, 19
3 2 1, 63.40, 31

Structure:
abc: 7.8681 7.8681 4.2511
angles: 90.00 90.00 120.00
Space group P-62m (No. 189)
Inequivalent atoms, fractional coordinates:
La (0.0000, 0.5918, 0.0000)
In (0.0000, 0.2442, 0.5000)
Ag (0.3333, 0.6667, 0.5000)
Pd (0.0000, 0.0000, 0.0000)

Diffraction record for La2TbIn3AgPd2. The X-ray diffraction stick pattern is simulated, not measured: it uses a cell relaxed with GGA-PBE and Cu Ka.
Lines closer than 0.1° are merged.

Peak list (10 most intense, 10 to 90 degrees two-theta, low angle first)
h k l, 2θ (°), I/Imax
1 0 2, 31.78, 99
1 4 0, 34.45, 100
0 1 3, 34.72, 50
0 3 3, 39.55, 39
1 1 3, 41.55, 24
2 0 0, 45.13, 25
1 5 3, 53.43, 16
2 1 3, 58.16, 22
2 3 3, 61.53, 20
1 1 5, 63.69, 34

Structure:
abc: 4.0184 13.6804 7.8898
angles: 90.00 90.00 90.00
Space group Amm2 (No. 38)
Inequivalent atoms, fractional coordinates:
La (0.0000, 0.2072, 0.0000)
Tb (0.0000, 0.0000, 0.6181)
In (0.5000, 0.0000, 0.9410)
In (0.5000, 0.1270, 0.3406)
Ag (0.0000, 0.0000, 0.2080)
Pd (0.5000, 0.1640, 0.7058)